Computed powder diffractogram
Compound: Tb3PCl3
Radiation: λ = 1.5418 Å (Cu Kα)
Structure: a cell relaxed with GGA-PBE

Largest 10 diffraction maxima, low angle first, 5° ≤ 2θ ≤ 70°:
| two_theta | I_rel |
| --- | --- |
| 8.76 | 94 |
| 17.57 | 13 |
| 26.29 | 24 |
| 27.76 | 42 |
| 31.79 | 100 |
| 37.66 | 17 |
| 44.76 | 28 |
| 46.39 | 28 |
| 52.76 | 14 |
| 57.34 | 18 |

Structure:
a b c (Å): 10.829 10.829 10.829
angles (deg): 36.49 36.49 36.49
Sites, in units of the cell vectors:
Tb 0.111 0.449 0.788
Tb 0.212 0.889 0.551
Tb 0.449 0.788 0.111
Tb 0.551 0.212 0.889
Tb 0.788 0.111 0.449
Tb 0.889 0.551 0.212
P 0.167 0.167 0.167
P 0.833 0.833 0.833
Cl 0.063 0.726 0.395
Cl 0.274 0.605 0.937
Cl 0.395 0.063 0.726
Cl 0.605 0.937 0.274
Cl 0.726 0.395 0.063
Cl 0.937 0.274 0.605